(1)
# HfIr2W
Computed PXRD pattern, Cu Kα. Input: DFT lattice parameters and positions (PBE).

Peak list (5 most intense, 2θ = 5–70°, by angle)
2θ (°)	Rel. int.	index
38.86	100	1 1 1
44.31	35	2 0 0
46.86	15	0 0 2
64.46	12	2 2 0
66.47	21	2 0 2

```
data_HfIr2W
_chemical_formula_sum 'Hf1 Ir2 W1'
_symmetry_space_group_name_H-M 'P 4/m m m'
_symmetry_Int_Tables_number 123
_symmetry_space_group_name_Hall '-P 4 2'
_cell_length_a 4.088
_cell_length_b 4.088
_cell_length_c 3.877
_cell_angle_alpha 90.00
_cell_angle_beta 90.00
_cell_angle_gamma 90.00
loop_
_atom_site_label
_atom_site_fract_x
_atom_site_fract_y
_atom_site_fract_z
Hf1 0.000 0.000 0.000
Ir1 0.000 0.500 0.500
W1 0.500 0.500 0.000
```

(2)
# LiNd2ErSe4
Computed PXRD pattern, Cu Kα. Input: DFT lattice parameters and positions (PBE).

Peak list (12 most intense, 2θ = 5–70°, by angle)
2θ (°)	Rel. int.	index
13.19	9	1 0 0
15.23	7	1 0 -1
21.55	7	0 1 0
25.31	7	1 0 -2
25.41	5	2 0 -1
26.54	5	1 1 -1
30.68	100	1 1 1
43.83	36	2 0 2
44.07	37	0 2 0
54.25	6	0 0 4
54.65	19	4 0 0
63.85	8	2 2 2

```
data_LiNd2ErSe4
_chemical_formula_sum 'Li1 Nd2 Er1 Se4'
_symmetry_space_group_name_H-M 'P 1 2/m 1'
_symmetry_Int_Tables_number 10
_cell_length_a 7.109
_cell_length_b 4.116
_cell_length_c 7.164
_cell_angle_alpha 90.00
_cell_angle_beta 109.26
_cell_angle_gamma 90.00
loop_
_symmetry_equiv_pos_as_xyz
'x,y,z'
'-x,-y,-z'
'-x,y,-z'
'x,-y,z'
loop_
_atom_site_label
_atom_site_fract_x
_atom_site_fract_y
_atom_site_fract_z
Li1 0.000 0.000 0.000
Nd1 0.000 0.500 0.500
Nd2 0.500 0.000 0.500
Er1 0.500 0.500 0.000
Se1 0.242 0.500 0.231
Se2 0.252 0.000 0.769
```

(3)
# TmPaPt3
Computed PXRD pattern, Cu Kα. Input: DFT lattice parameters and positions (PBE).

Peak list (12 most intense, 2θ = 5–70°, by angle)
2θ (°)	Rel. int.	index
28.33	17	1 1 1
29.21	44	1 0 2
33.25	13	0 2 1
37.00	86	1 0 3
37.62	37	0 2 2
39.75	100	1 2 1
43.21	38	2 0 0
44.12	18	0 2 3
52.13	20	0 2 4
58.60	21	2 2 2
63.47	13	2 2 3
69.95	17	2 2 4

```
data_TmPaPt3
_chemical_formula_sum 'Tm2 Pa2 Pt6'
_symmetry_space_group_name_H-M 'P m m n'
_symmetry_Int_Tables_number 59
_cell_length_a 4.188
_cell_length_b 5.658
_cell_length_c 8.947
_cell_angle_alpha 90.00
_cell_angle_beta 90.00
_cell_angle_gamma 90.00
loop_
_symmetry_equiv_pos_as_xyz
'x,y,z'
'-x,-y,-z'
'-x+1/2,-y+1/2,z'
'x+1/2,y+1/2,-z'
'x+1/2,-y,-z'
'-x+1/2,y,z'
'-x,y+1/2,-z'
'x,-y+1/2,z'
loop_
_atom_site_label
_atom_site_fract_x
_atom_site_fract_y
_atom_site_fract_z
Tm1 0.250 0.250 0.055
Pa1 0.250 0.750 0.390
Pt1 0.250 0.250 0.387
Pt2 0.250 0.502 0.779
```

(4)
# SbTe3Cl
Computed PXRD pattern, Cu Kα. Input: DFT lattice parameters and positions (PBE).

Peak list (12 most intense, 2θ = 5–70°, by angle)
2θ (°)	Rel. int.	index
11.31	24	0 1 0
15.11	27	1 1 0
20.25	26	0 1 1
22.67	61	0 2 0
28.66	100	2 1 1
30.14	34	1 2 1
30.50	19	2 2 0
39.68	27	2 0 2
40.79	20	4 0 0
41.17	20	0 2 2
41.98	18	3 2 1
43.76	21	2 3 1

```
data_SbTe3Cl
_chemical_formula_sum 'Sb2 Te6 Cl2'
_symmetry_space_group_name_H-M 'P m n 21'
_symmetry_Int_Tables_number 31
_cell_length_a 8.849
_cell_length_b 7.826
_cell_length_c 5.294
_cell_angle_alpha 90.00
_cell_angle_beta 90.00
_cell_angle_gamma 90.00
loop_
_symmetry_equiv_pos_as_xyz
'x,y,z'
'-x+1/2,-y,z+1/2'
'-x,y,z'
'x+1/2,-y,z+1/2'
loop_
_atom_site_label
_atom_site_fract_x
_atom_site_fract_y
_atom_site_fract_z
Sb1 0.000 0.007 0.000
Te1 0.000 0.311 0.620
Te2 0.227 0.231 0.266
Cl1 0.000 0.785 0.376
```